TbPr4Nd3: computed X-ray diffraction stick pattern (Cu Kα (λ = 1.5418 Å)), based on a structure optimized by DFT (PBE).

Structural model:
```
data_TbPr4Nd3
_symmetry_space_group_name_H-M 'P m n a'
_symmetry_Int_Tables_number 53
_cell_length_a 10.4237
_cell_length_b 7.3627
_cell_length_c 7.3566
_cell_angle_alpha 90.00
_cell_angle_beta 90.00
_cell_angle_gamma 90.00
loop_
_symmetry_equiv_pos_as_xyz
'x,y,z'
'-x,-y,-z'
'-x+1/2,-y,z+1/2'
'x+1/2,y,-z+1/2'
'x,-y,-z'
'-x,y,z'
'-x+1/2,y,-z+1/2'
'x+1/2,-y,z+1/2'
loop_
_atom_site_label
_atom_site_type_symbol
_atom_site_fract_x
_atom_site_fract_y
_atom_site_fract_z
Tb1 Tb 0.0000 0.0000 0.0000
Pr1 Pr 0.0000 0.0000 0.5000
Pr2 Pr 0.0000 0.5000 0.0000
Pr3 Pr 0.2500 0.2482 0.2500
Nd1 Nd 0.0000 0.5000 0.5000
Nd2 Nd 0.2500 0.2483 0.7500
```

Peak list (6 most intense, 10 to 90 degrees two-theta, by angle)
2θ/deg  I (rel.)  index
29.72  100.0  2 2 0
34.45  50.7  4 0 0
49.52  36.4  4 2 2
58.82  43.4  6 2 0
80.38  14.7  6 4 2
82.91  13.6  8 2 2